[1]
Theoretical PXRD pattern of NaCoSb6 for Cu Kα (λ = 1.5418 Å), from DFT lattice parameters and positions (PBE).

Largest 10 diffraction maxima, low angle first, 2θ from 10° to 90°:
- 11.3 deg, d = 7.805 Å, rel. 100
- 25.4 deg, d = 3.503 Å, rel. 17
- 28.6 deg, d = 3.122 Å, rel. 37
- 29.7 deg, d = 3.012 Å, rel. 54
- 30.5 deg, d = 2.927 Å, rel. 75
- 34.1 deg, d = 2.630 Å, rel. 34
- 35.9 deg, d = 2.502 Å, rel. 28
- 41.5 deg, d = 2.175 Å, rel. 20
- 47.9 deg, d = 1.900 Å, rel. 19
- 48.9 deg, d = 1.863 Å, rel. 17

Unit cell a=7.9958 b=7.9958 c=9.7228 alpha=119.29 beta=119.29 gamma=69.73
Fractional coordinates of all 16 atoms:
Na (0.0000, 0.5000, 0.0000)
Na (0.5000, 0.0000, 0.0000)
Co (0.0000, 0.5000, 0.5000)
Co (0.5000, 0.0000, 0.5000)
Sb (0.0327, 0.6940, 0.3730)
Sb (0.1042, 0.7912, 0.7885)
Sb (0.2088, 0.8958, 0.2115)
Sb (0.3060, 0.9673, 0.6270)
Sb (0.3450, 0.3450, 0.5268)
Sb (0.3764, 0.3764, 0.2570)
Sb (0.6236, 0.6236, 0.7430)
Sb (0.6550, 0.6550, 0.4732)
Sb (0.6940, 0.0327, 0.3730)
Sb (0.7912, 0.1042, 0.7885)
Sb (0.8958, 0.2088, 0.2115)
Sb (0.9673, 0.3060, 0.6270)

***

[2]
Theoretical PXRD pattern of NaSr2H6Ru for Cu Kα (λ = 1.5418 Å), from DFT lattice parameters and positions (PBE).

Largest 10 diffraction maxima, low angle first, 2θ from 10° to 90°:
- 14.2 deg, d = 6.236 Å, rel. 90
- 24.1 deg, d = 3.691 Å, rel. 99
- 33.9 deg, d = 2.644 Å, rel. 100
- 34.8 deg, d = 2.577 Å, rel. 95
- 36.9 deg, d = 2.434 Å, rel. 46
- 42.0 deg, d = 2.149 Å, rel. 25
- 48.1 deg, d = 1.893 Å, rel. 22
- 49.4 deg, d = 1.846 Å, rel. 36
- 55.1 deg, d = 1.668 Å, rel. 20
- 61.3 deg, d = 1.513 Å, rel. 36

Unit cell a=5.2876 b=5.2876 c=6.2364 alpha=90.00 beta=90.00 gamma=120.00
Fractional coordinates of all 10 atoms:
Na (0.0000, 0.0000, 0.0000)
Sr (0.3333, 0.6667, 0.3307)
Sr (0.6667, 0.3333, 0.6693)
H (0.1541, 0.3082, 0.6614)
H (0.1541, 0.8459, 0.6614)
H (0.3082, 0.1541, 0.3386)
H (0.6918, 0.8459, 0.6614)
H (0.8459, 0.1541, 0.3386)
H (0.8459, 0.6918, 0.3386)
Ru (0.0000, 0.0000, 0.5000)